For Hf5NiSn3, a DFT-relaxed cell (PBE, OQMD) gives the simulated powder X-ray diffraction pattern in this record (copper Kα).
Kinematic intensities with the Lorentz-polarization factor, no thermal factor.

Structural model:
```
Hf5NiSn3
1.0
8.5648 0.0000 0.0000
-4.2824 7.4174 0.0000
0.0000 0.0000 5.7966
Hf Ni Sn
10 2 6
Cartesian
-1.0867 1.8821 1.4491 Hf
-3.1958 5.5352 4.3474 Hf
2.1733 0.0000 1.4491 Hf
1.0867 1.8821 4.3474 Hf
0.0000 4.9449 0.0000 Hf
0.0000 4.9449 2.8983 Hf
4.2824 2.4725 0.0000 Hf
4.2824 2.4725 2.8983 Hf
6.3915 0.0000 4.3474 Hf
3.1958 5.5352 1.4491 Hf
0.0000 0.0000 0.0000 Ni
0.0000 0.0000 2.8983 Ni
-1.6820 2.9133 4.3474 Sn
-2.6004 4.5041 1.4491 Sn
3.3640 0.0000 4.3474 Sn
1.6820 2.9133 1.4491 Sn
5.2009 0.0000 1.4491 Sn
2.6004 4.5041 4.3474 Sn
```

Principal peaks in the range 2θ from 10° to 90°, in order of falling intensity:
hkl	2theta	intensity
1 1 2	37.5	100
2 1 1	35.6	97
3 0 0	36.3	67
2 2 2	53.2	26
2 1 3	58.0	24
2 1 0	31.9	22
3 0 4	76.1	16
3 2 1	56.3	15